Calculated PXRD pattern of LiLa2PaSe6 for a wavelength of 1.5418 Å, from a structure optimized by DFT (GGA-PBE).

Crystal structure
abc: 6.934 6.934 6.335
angles: 90.00 90.00 90.00
Atoms (fractional coordinates):
Li (0.000, 0.000, 0.000)
La (0.000, 0.500, 0.457)
La (0.500, 0.000, 0.457)
Pa (0.500, 0.500, 0.061)
Se (0.000, 0.000, 0.616)
Se (0.239, 0.239, 0.179)
Se (0.239, 0.761, 0.179)
Se (0.500, 0.500, 0.616)
Se (0.761, 0.239, 0.179)
Se (0.761, 0.761, 0.179)

Top 10 peaks for 15 to 90 degrees two-theta, in order of rising 2θ:
hkl 1 0 1, 4.677 Å, 2θ = 19.0°, rel. 44
hkl 1 1 1, 3.877 Å, 2θ = 22.9°, rel. 96
hkl 2 0 1, 3.041 Å, 2θ = 29.4°, rel. 57
hkl 1 1 2, 2.660 Å, 2θ = 33.7°, rel. 56
hkl 2 2 0, 2.451 Å, 2θ = 36.7°, rel. 100
hkl 2 0 2, 2.338 Å, 2θ = 38.5°, rel. 71
hkl 3 1 1, 2.072 Å, 2θ = 43.7°, rel. 36
hkl 2 2 2, 1.939 Å, 2θ = 46.9°, rel. 40
hkl 2 0 3, 1.803 Å, 2θ = 50.6°, rel. 53
hkl 4 0 0, 1.733 Å, 2θ = 52.8°, rel. 34